The following is a computed powder XRD pattern of Mg3CrBr8. It was derived from a DFT-relaxed cell (PBE, Alexandria), using copper Kα.

The 10 most intense peaks (2θ from 5° to 70°), in order of rising 2θ:
2θ (°)  d [Å]  I/Imax
12.51  7.075  68.7
25.18  3.537  32.4
27.93  3.195  97.0
31.52  2.839  100.0
31.71  2.821  50.0
40.02  2.253  20.9
43.33  2.088  15.2
43.60  2.076  31.0
46.98  1.934  52.1
57.78  1.596  17.1

Structure:
```
Mg3CrBr8
1.0
6.698 -3.870 0.000
6.698 3.870 0.000
-4.525 0.000 7.075
Mg Cr Br
3 1 8
Direct
0.000 0.000 0.000
0.000 0.500 0.000
0.500 0.000 0.000
0.500 0.500 0.000
0.239 0.239 0.214
0.240 0.737 0.212
0.263 0.263 0.788
0.263 0.760 0.788
0.737 0.240 0.212
0.737 0.737 0.212
0.760 0.263 0.788
0.761 0.761 0.786
```